(1)
Ho2Be2GeO7: calculated powder diffractogram (Cu Kα (λ = 1.5418 Å)), based on a DFT-relaxed cell (GGA-PBE, the Materials Project).

Crystal structure
Cell: 7.4300 7.4300 4.8056 Å, 90.00 90.00 90.00°
Space group P-42_1m (No. 113)
Asymmetric unit:
Ho  0.1577  0.3423  0.0067 [4 per cell]
Be  0.1352  0.6352  0.5493 [4 per cell]
Ge  0.0000  0.0000  0.5000 [2 per cell]
O  0.0000  0.5000  0.6882 [2 per cell]
O  0.0815  0.8286  0.7191 [8 per cell]
O  0.1418  0.6418  0.2184 [4 per cell]

Main lines, in order of falling intensity (2θ from 5° to 70°):
2θ (°)	Rel. int.	h k l
32.8	1000	2 1 1
26.8	513	2 1 0
25.1	442	1 1 1
46.6	428	2 1 2
30.4	419	2 0 1
18.5	380	0 0 1
38.3	271	3 1 0
54.6	268	3 1 2
55.9	247	3 3 1
64.6	215	2 1 3
52.8	170	4 0 1
54.4	140	4 1 1

(2)
Sn4SI6: calculated powder diffractogram (Cu Kα (λ = 1.5418 Å)), based on a DFT-relaxed cell (GGA-PBE, the Materials Project).

Crystal structure
Cell: 14.6648 4.4590 25.7673 Å, 90.00 93.87 90.00°
Space group C2/m (No. 12)
Asymmetric unit:
Sn  0.0355  0.0000  0.2163 [4 per cell]
Sn  0.1329  0.0000  0.4833 [4 per cell]
Sn  0.2047  0.0000  0.6436 [4 per cell]
Sn  0.2214  0.5000  0.9169 [4 per cell]
S  0.2240  0.5000  0.4486 [4 per cell]
I  0.0656  0.0000  0.8976 [4 per cell]
I  0.0710  0.5000  0.5809 [4 per cell]
I  0.0989  0.5000  0.7476 [4 per cell]
I  0.1427  0.0000  0.3342 [4 per cell]
I  0.1461  0.5000  0.0253 [4 per cell]
I  0.1765  0.5000  0.1816 [4 per cell]

Main lines, in order of falling intensity (2θ from 5° to 70°):
2θ (°)	Rel. int.	h k l
27.2	1000	3 1 -1
26.4	581	2 0 -7
40.5	522	0 2 0
27.4	462	1 1 5
27.7	402	3 1 -2
31.8	385	1 1 -7
31.1	322	3 1 4
24.8	291	2 0 6
41.3	254	6 0 -6
28.6	248	3 1 -3
29.9	231	1 1 6
49.0	213	2 2 -7

(3)
Ba2BiSbO6: calculated powder diffractogram (Cu Kα (λ = 1.5418 Å)), based on a DFT-relaxed cell (GGA-PBE, the Materials Project).

Crystal structure
Cell: 6.1471 6.1471 14.8950 Å, 90.00 90.00 120.00°
Space group R-3 (No. 148, hexagonal axes)
Asymmetric unit:
Ba  0.0000  0.0000  0.2487 [6 per cell]
Bi  0.0000  0.0000  0.5000 [3 per cell]
Sb  0.0000  0.0000  0.0000 [3 per cell]
O  0.0262  0.5600  0.7451 [18 per cell]

Main lines, in order of falling intensity (2θ from 5° to 70°):
2θ (°)	Rel. int.	h k l
29.1	1000	1 1 0
29.3	1000	1 0 4
41.7	551	0 2 4
51.6	424	2 1 4
51.5	223	3 0 0
52.0	203	0 1 8
68.7	188	3 -2 8
68.3	184	1 3 4
60.7	175	2 0 8
60.2	170	2 2 0
20.5	70	0 1 2
34.3	61	2 -1 3

(4)
Ba2MnSe3: calculated powder diffractogram (Cu Kα (λ = 1.5418 Å)), based on a DFT-relaxed cell (GGA-PBE, the Materials Project).

Crystal structure
Cell: 9.2474 4.5244 17.9089 Å, 90.00 90.00 90.00°
Space group Pnma (No. 62)
Asymmetric unit:
Ba  0.0832  0.2500  0.2141 [4 per cell]
Ba  0.2467  0.2500  0.9577 [4 per cell]
Mn  0.1295  0.2500  0.6341 [4 per cell]
Se  0.0028  0.7500  0.6008 [4 per cell]
Se  0.1265  0.7500  0.0724 [4 per cell]
Se  0.1798  0.2500  0.7726 [4 per cell]

Main lines, in order of falling intensity (2θ from 5° to 70°):
2θ (°)	Rel. int.	h k l
29.4	1000	2 1 2
28.0	877	2 1 1
39.8	661	0 2 0
29.7	630	1 1 4
33.3	519	1 1 5
26.7	443	1 0 5
37.5	422	2 1 5
30.7	396	3 0 2
24.7	384	0 1 3
35.6	337	3 1 1
65.9	310	6 1 3
27.6	276	2 1 0

(5)
EuSi2: calculated powder diffractogram (Cu Kα (λ = 1.5418 Å)), based on a DFT-relaxed cell (GGA-PBE, the Materials Project).

Crystal structure
Cell: 4.2808 4.2808 13.8298 Å, 90.00 90.00 90.00°
Space group I4_1/amd (No. 141, origin choice 2)
Asymmetric unit:
Eu  0.0000  0.2500  0.3750 [4 per cell]
Si  0.0000  0.2500  0.7910 [8 per cell]

Main lines, in order of falling intensity (2θ from 5° to 70°):
2θ (°)	Rel. int.	h k l
32.3	1000	1 1 2
28.5	496	1 0 3
21.7	401	1 0 1
38.8	380	1 0 5
42.2	318	2 0 0
58.6	223	2 1 5
25.8	200	0 0 4
51.7	189	2 1 3
50.9	168	1 0 7
68.2	141	2 1 7
50.1	136	2 0 4
48.0	110	2 1 1

(6)
K2PrCl5: calculated powder diffractogram (Cu Kα (λ = 1.5418 Å)), based on a DFT-relaxed cell (GGA-PBE, the Materials Project).

Crystal structure
Cell: 13.0337 8.8511 8.1623 Å, 90.00 90.00 90.00°
Space group Pnma (No. 62)
Asymmetric unit:
K  0.1720  0.0049  0.0495 [8 per cell]
Pr  0.0055  0.2500  0.5762 [4 per cell]
Cl  0.0078  0.2500  0.9215 [4 per cell]
Cl  0.0777  0.5428  0.6634 [8 per cell]
Cl  0.1790  0.2500  0.3735 [4 per cell]
Cl  0.2036  0.7500  0.3366 [4 per cell]

Main lines, in order of falling intensity (2θ from 5° to 70°):
2θ (°)	Rel. int.	h k l
12.8	1000	1 0 1
23.9	587	1 2 1
13.6	552	2 0 0
32.9	534	2 2 2
37.2	477	2 1 3
34.2	470	4 2 0
20.1	443	0 2 0
23.2	419	3 0 1
41.7	398	5 2 1
30.6	384	1 2 2
24.3	367	2 2 0
40.8	329	0 4 0